[1]
Structure and computed PXRD pattern of Ce6Bi2HIr (a crystal structure in Alexandria, relaxed with GGA-PBE; Cu Kα (weighted mean of Kα1 and Kα2)).
Lines closer than 0.1° are merged.

Atomic structure:
Cell lengths 5.244, 5.244, 10.110 Å; angles 90.00, 90.00, 90.00 degrees
Atoms (fractional coordinates):
Ce (0.000, 0.000, 0.218)
Ce (0.000, 0.000, 0.782)
Ce (0.000, 0.500, 0.000)
Ce (0.000, 0.500, 0.500)
Ce (0.500, 0.000, 0.000)
Ce (0.500, 0.000, 0.500)
Bi (0.500, 0.500, 0.243)
Bi (0.500, 0.500, 0.757)
H (0.000, 0.000, 0.000)
Ir (0.000, 0.000, 0.500)

Principal peaks in the range 2θ from 10° to 90°, in order of rising 2θ:
2θ = 29.88°, 2.990 Å, I 100, hkl 1 1 2
2θ = 34.19°, 2.622 Å, I 68, hkl 2 0 0
2θ = 35.52°, 2.528 Å, I 27, hkl 0 0 4
2θ = 49.14°, 1.854 Å, I 25, hkl 2 2 0
2θ = 50.13°, 1.820 Å, I 41, hkl 2 0 4
2θ = 58.58°, 1.576 Å, I 30, hkl 3 1 2

[2]
Structure and computed PXRD pattern of CeHfBi3 (a crystal structure in Alexandria, relaxed with GGA-PBE; Cu Kα (weighted mean of Kα1 and Kα2)).
Lines closer than 0.1° are merged.

Atomic structure:
Cell lengths 13.679, 6.690, 6.514 Å; angles 90.00, 90.00, 90.00 degrees
Atoms (fractional coordinates):
Ce (0.184, 0.010, 0.250)
Ce (0.184, 0.490, 0.750)
Ce (0.816, 0.510, 0.250)
Ce (0.816, 0.990, 0.750)
Hf (0.407, 0.750, 0.000)
Hf (0.407, 0.750, 0.500)
Hf (0.593, 0.250, 0.000)
Hf (0.593, 0.250, 0.500)
Bi (0.003, 0.750, 0.000)
Bi (0.003, 0.750, 0.500)
Bi (0.256, 0.516, 0.250)
Bi (0.256, 0.984, 0.750)
Bi (0.420, 0.120, 0.250)
Bi (0.420, 0.380, 0.750)
Bi (0.580, 0.620, 0.250)
Bi (0.580, 0.880, 0.750)
Bi (0.744, 0.016, 0.250)
Bi (0.744, 0.484, 0.750)
Bi (0.997, 0.250, 0.000)
Bi (0.997, 0.250, 0.500)

Principal peaks in the range 2θ from 10° to 90°, in order of rising 2θ:
2θ = 27.35°, 3.261 Å, I 80, hkl 3 1 1
2θ = 29.73°, 3.005 Å, I 100, hkl 2 2 0
2θ = 30.40°, 2.941 Å, I 64, hkl 2 0 2
2θ = 32.74°, 2.736 Å, I 50, hkl 5 0 0
2θ = 33.25°, 2.694 Å, I 62, hkl 3 2 0
2θ = 38.58°, 2.334 Å, I 87, hkl 0 2 2